Entry 1:
Simulated powder XRD pattern of Re3Pt2 for Cu Kα (weighted mean of Kα1 and Kα2), from a structure optimized by DFT (GGA-PBE).
Peak positions follow from Bragg's law for the DFT cell and can differ from measured ones.

Crystal structure
a b c (Å): 11.454 11.454 11.454
angles (deg): 13.91 13.91 13.91
Atoms (fractional coordinates):
Re 0.000 0.000 0.000
Re 0.198 0.198 0.198
Re 0.802 0.802 0.802
Pt 0.399 0.399 0.399
Pt 0.601 0.601 0.601

Largest 6 diffraction maxima, by angle, 2θ from 10° to 90°:
d [Å], intensity
2.266, 100.0
1.963, 49.0
1.388, 32.0
1.184, 38.6
1.134, 2.8
1.133, 8.7

=====

Entry 2:
Simulated powder XRD pattern of RePt2 for Cu Kα (weighted mean of Kα1 and Kα2), from a structure optimized by DFT (GGA-PBE).
Peak positions follow from Bragg's law for the DFT cell and can differ from measured ones.

Crystal structure
a b c (Å): 6.933 6.933 6.933
angles (deg): 23.42 23.42 23.42
Atoms (fractional coordinates):
Re 0.000 0.000 0.000
Pt 0.559 0.559 0.559
Pt 0.773 0.773 0.773

Largest 10 diffraction maxima, by angle, 2θ from 10° to 90°:
d [Å], intensity
2.420, 41.6
2.369, 14.7
2.246, 50.7
2.195, 100.0
2.087, 95.8
1.407, 36.6
1.311, 16.0
1.242, 18.6
1.193, 41.5
1.167, 15.2

=====

Entry 3:
Simulated powder XRD pattern of Re2PtRh6 for Cu Kα (weighted mean of Kα1 and Kα2), from a structure optimized by DFT (GGA-PBE).
Peak positions follow from Bragg's law for the DFT cell and can differ from measured ones.

Crystal structure
a b c (Å): 4.734 4.734 8.200
angles (deg): 106.50 106.50 48.05
Atoms (fractional coordinates):
Re 0.174 0.174 0.230
Re 0.826 0.826 0.770
Pt 0.500 0.500 0.000
Rh 0.169 0.169 0.888
Rh 0.172 0.172 0.555
Rh 0.498 0.498 0.328
Rh 0.502 0.502 0.672
Rh 0.828 0.828 0.445
Rh 0.831 0.831 0.112

Largest 10 diffraction maxima, by angle, 2θ from 10° to 90°:
d [Å], intensity
2.231, 100.0
1.940, 16.1
1.929, 32.3
1.370, 5.7
1.367, 15.3
1.364, 10.3
1.169, 6.0
1.168, 6.0
1.165, 6.1
1.163, 18.6

=====

Entry 4:
Simulated powder XRD pattern of Re2Pt3Rh3 for Cu Kα (weighted mean of Kα1 and Kα2), from a structure optimized by DFT (GGA-PBE).
Peak positions follow from Bragg's law for the DFT cell and can differ from measured ones.

Crystal structure
a b c (Å): 5.005 5.005 5.005
angles (deg): 94.90 94.90 94.90
Atoms (fractional coordinates):
Re 0.174 0.174 0.174
Re 0.826 0.826 0.826
Pt 0.214 0.786 0.500
Pt 0.500 0.214 0.786
Pt 0.786 0.500 0.214
Rh 0.000 0.320 0.680
Rh 0.320 0.680 0.000
Rh 0.680 0.000 0.320

Largest 10 diffraction maxima, by angle, 2θ from 10° to 90°:
d [Å], intensity
2.631, 18.9
2.483, 19.5
2.308, 30.4
2.142, 99.1
2.129, 100.0
2.059, 21.4
1.655, 18.2
1.510, 23.2
1.232, 24.3
1.119, 25.6

=====

Entry 5:
Simulated powder XRD pattern of RePt2Rh3 for Cu Kα (weighted mean of Kα1 and Kα2), from a structure optimized by DFT (GGA-PBE).
Peak positions follow from Bragg's law for the DFT cell and can differ from measured ones.

Crystal structure
a b c (Å): 5.512 3.869 8.270
angles (deg): 90.00 90.33 90.00
Atoms (fractional coordinates):
Re 0.127 0.250 0.246
Re 0.873 0.750 0.754
Pt 0.123 0.250 0.585
Pt 0.375 0.750 0.090
Pt 0.625 0.250 0.910
Pt 0.877 0.750 0.415
Rh 0.117 0.250 0.916
Rh 0.370 0.750 0.747
Rh 0.372 0.750 0.410
Rh 0.628 0.250 0.590
Rh 0.630 0.250 0.253
Rh 0.883 0.750 0.084

Largest 10 diffraction maxima, by angle, 2θ from 10° to 90°:
d [Å], intensity
2.245, 100.0
1.955, 16.5
1.943, 16.7
1.934, 16.1
1.375, 10.5
1.371, 10.9
1.177, 12.6
1.172, 12.4
1.168, 12.6
1.122, 11.1

=====

Entry 6:
Simulated powder XRD pattern of RePt3Rh7 for Cu Kα (weighted mean of Kα1 and Kα2), from a structure optimized by DFT (GGA-PBE).
Peak positions follow from Bragg's law for the DFT cell and can differ from measured ones.

Crystal structure
a b c (Å): 6.648 6.648 4.677
angles (deg): 110.31 110.31 91.75
Atoms (fractional coordinates):
Re 0.000 0.000 0.000
Pt 0.273 0.727 0.500
Pt 0.500 0.500 0.000
Pt 0.727 0.273 0.500
Rh 0.000 0.000 0.500
Rh 0.077 0.596 0.838
Rh 0.317 0.317 0.325
Rh 0.404 0.923 0.162
Rh 0.596 0.077 0.838
Rh 0.683 0.683 0.675
Rh 0.923 0.404 0.162

Largest 10 diffraction maxima, by angle, 2θ from 10° to 90°:
d [Å], intensity
4.012, 48.6
3.076, 26.7
2.386, 93.9
2.339, 97.6
2.094, 100.0
2.082, 97.5
2.049, 29.9
1.670, 62.8
1.300, 21.5
1.292, 20.6

=====

Entry 7:
Simulated powder XRD pattern of RePtRh5W2 for Cu Kα (weighted mean of Kα1 and Kα2), from a structure optimized by DFT (GGA-PBE).
Peak positions follow from Bragg's law for the DFT cell and can differ from measured ones.

Crystal structure
a b c (Å): 7.524 7.524 7.524
angles (deg): 121.89 121.89 86.75
Atoms (fractional coordinates):
Re 0.250 0.250 0.000
Re 0.750 0.750 0.000
Pt 0.250 0.750 0.500
Pt 0.750 0.250 0.500
Rh 0.000 0.000 0.000
Rh 0.075 0.575 0.919
Rh 0.156 0.075 0.500
Rh 0.344 0.844 0.919
Rh 0.425 0.344 0.500
Rh 0.500 0.500 0.000
Rh 0.575 0.656 0.500
Rh 0.656 0.156 0.081
Rh 0.844 0.925 0.500
Rh 0.925 0.425 0.081
W 0.115 0.385 0.500
W 0.385 0.885 0.269
W 0.615 0.115 0.731
W 0.885 0.615 0.500

Largest 10 diffraction maxima, by angle, 2θ from 10° to 90°:
d [Å], intensity
2.584, 67.6
2.433, 56.5
2.311, 15.8
2.189, 100.0
2.129, 15.8
1.993, 30.2
1.818, 15.8
1.733, 26.7
1.403, 24.3
1.291, 17.7

=====

Entry 8:
Simulated powder XRD pattern of Re2PtSe5 for Cu Kα (weighted mean of Kα1 and Kα2), from a structure optimized by DFT (GGA-PBE).
Peak positions follow from Bragg's law for the DFT cell and can differ from measured ones.

Crystal structure
a b c (Å): 5.549 6.536 6.670
angles (deg): 118.68 92.45 108.51
Atoms (fractional coordinates):
Re 0.000 0.000 0.000
Re 0.416 0.800 0.449
Pt 0.456 0.872 0.898
Se 0.032 0.429 0.236
Se 0.282 0.112 0.757
Se 0.352 0.072 0.286
Se 0.660 0.728 0.123
Se 0.683 0.651 0.604

Largest 10 diffraction maxima, by angle, 2θ from 10° to 90°:
d [Å], intensity
5.589, 43.8
5.291, 100.0
5.116, 27.6
3.125, 40.3
2.658, 16.9
2.203, 16.4
2.172, 19.8
2.092, 17.9
2.051, 18.0
1.998, 18.7

=====

Entry 9:
Simulated powder XRD pattern of Re2SiPt for Cu Kα (weighted mean of Kα1 and Kα2), from a structure optimized by DFT (GGA-PBE).
Peak positions follow from Bragg's law for the DFT cell and can differ from measured ones.

Crystal structure
a b c (Å): 5.426 4.406 5.521
angles (deg): 90.00 116.97 90.00
Atoms (fractional coordinates):
Re 0.000 0.000 0.000
Re 0.193 0.500 0.784
Re 0.471 0.000 0.888
Re 0.671 0.500 0.720
Si 0.035 0.000 0.468
Si 0.264 0.500 0.266
Pt 0.562 0.000 0.412
Pt 0.786 0.500 0.244

Largest 10 diffraction maxima, by angle, 2θ from 10° to 90°:
d [Å], intensity
4.836, 21.0
3.203, 20.7
2.861, 28.5
2.335, 87.4
2.309, 60.5
2.203, 81.4
2.148, 100.0
2.120, 97.5
2.062, 31.5
1.602, 20.4

=====

Entry 10:
Simulated powder XRD pattern of ReSn3Pt for Cu Kα (weighted mean of Kα1 and Kα2), from a structure optimized by DFT (GGA-PBE).
Peak positions follow from Bragg's law for the DFT cell and can differ from measured ones.

Crystal structure
a b c (Å): 5.113 5.113 5.113
angles (deg): 90.00 90.00 90.00
Atoms (fractional coordinates):
Re 0.000 0.000 0.000
Sn 0.000 0.000 0.500
Sn 0.000 0.500 0.000
Sn 0.500 0.000 0.000
Pt 0.500 0.500 0.500

Largest 10 diffraction maxima, by angle, 2θ from 10° to 90°:
d [Å], intensity
5.113, 13.3
3.616, 57.9
2.952, 49.8
2.557, 100.0
2.087, 26.2
1.808, 72.7
1.542, 22.5
1.476, 25.3
1.367, 13.3
1.143, 34.9

=====

Entry 11:
Simulated powder XRD pattern of ReTcPt4 for Cu Kα (weighted mean of Kα1 and Kα2), from a structure optimized by DFT (GGA-PBE).
Peak positions follow from Bragg's law for the DFT cell and can differ from measured ones.

Crystal structure
a b c (Å): 2.772 2.772 11.931
angles (deg): 90.00 90.00 90.00
Atoms (fractional coordinates):
Re 0.000 0.000 0.000
Tc 0.500 0.500 0.500
Pt 0.000 0.000 0.342
Pt 0.000 0.000 0.658
Pt 0.500 0.500 0.159
Pt 0.500 0.500 0.841

Largest 10 diffraction maxima, by angle, 2θ from 10° to 90°:
d [Å], intensity
2.983, 2.5
2.700, 2.6
2.274, 100.0
1.988, 16.0
1.960, 32.8
1.396, 20.5
1.386, 10.7
1.196, 11.4
1.183, 25.6
1.137, 10.9

=====

Entry 12:
Simulated powder XRD pattern of ReTe2Pt for Cu Kα (weighted mean of Kα1 and Kα2), from a structure optimized by DFT (GGA-PBE).
Peak positions follow from Bragg's law for the DFT cell and can differ from measured ones.

Crystal structure
a b c (Å): 3.075 3.859 8.231
angles (deg): 90.00 99.35 90.00
Atoms (fractional coordinates):
Re 0.000 0.000 0.000
Te 0.106 0.500 0.239
Te 0.854 0.000 0.669
Pt 0.436 0.500 0.853

Largest 10 diffraction maxima, by angle, 2θ from 10° to 90°:
d [Å], intensity
8.122, 100.0
2.797, 33.3
2.704, 11.4
2.385, 23.6
2.372, 25.1
2.216, 46.0
2.182, 10.4
1.930, 13.8
1.876, 15.2
1.831, 9.3

=====

Entry 13:
Simulated powder XRD pattern of Ti4Re2Pt for Cu Kα (weighted mean of Kα1 and Kα2), from a structure optimized by DFT (GGA-PBE).
Peak positions follow from Bragg's law for the DFT cell and can differ from measured ones.

Crystal structure
a b c (Å): 5.355 5.355 5.355
angles (deg): 110.13 110.13 108.15
Atoms (fractional coordinates):
Ti 0.000 0.000 0.500
Ti 0.000 0.500 0.000
Ti 0.500 0.000 0.000
Ti 0.500 0.500 0.500
Re 0.000 0.500 0.500
Re 0.500 0.000 0.500
Pt 0.000 0.000 0.000

Largest 10 diffraction maxima, by angle, 2θ from 10° to 90°:
d [Å], intensity
4.389, 40.2
4.336, 16.6
3.142, 16.0
3.066, 30.1
2.514, 19.5
2.194, 100.0
2.168, 48.2
1.533, 15.9
1.272, 16.9
1.257, 32.4

=====

Entry 14:
Simulated powder XRD pattern of RePtW2 for Cu Kα (weighted mean of Kα1 and Kα2), from a structure optimized by DFT (GGA-PBE).
Peak positions follow from Bragg's law for the DFT cell and can differ from measured ones.

Crystal structure
a b c (Å): 3.977 3.977 3.928
angles (deg): 90.00 90.00 90.00
Atoms (fractional coordinates):
Re 0.000 0.000 0.000
Pt 0.500 0.500 0.000
W 0.000 0.500 0.500
W 0.500 0.000 0.500

Largest 8 diffraction maxima, by angle, 2θ from 10° to 90°:
d [Å], intensity
2.286, 100.0
1.988, 33.2
1.964, 16.0
1.406, 10.9
1.397, 21.4
1.198, 26.2
1.187, 12.7
1.143, 11.5

=====

Entry 15:
Simulated powder XRD pattern of RePtW for Cu Kα (weighted mean of Kα1 and Kα2), from a structure optimized by DFT (GGA-PBE).
Peak positions follow from Bragg's law for the DFT cell and can differ from measured ones.

Crystal structure
a b c (Å): 6.324 6.324 6.324
angles (deg): 154.59 154.59 36.24
Atoms (fractional coordinates):
Re 0.000 0.000 0.000
Pt 0.331 0.331 0.000
W 0.660 0.660 0.000

Largest 8 diffraction maxima, by angle, 2θ from 10° to 90°:
d [Å], intensity
2.285, 100.0
2.004, 16.9
1.967, 32.2
1.404, 21.6
1.391, 10.6
1.204, 13.1
1.188, 25.6
1.142, 11.4